The following is a calculated powder diffraction line list of PuTlTeCl2. It was derived from a DFT-relaxed cell (GGA-PBE, Alexandria), using Cu Kα X-rays.

The 8 most intense peaks (2θ from 10° to 90°), by intensity:
| two_theta | I (rel.) |
| --- | --- |
| 28.76 | 100 |
| 38.34 | 69 |
| 22.57 | 40 |
| 10.06 | 37 |
| 20.20 | 36 |
| 22.71 | 30 |
| 30.50 | 23 |
| 39.98 | 19 |

Lattice parameters (Å, degrees): 9.0766 9.0766 8.8231 90.00 90.00 151.23
Fractional positions:
Pu (0.0000, 0.0000, 0.0000)
Pu (0.0000, 0.0000, 0.5000)
Tl (0.2996, 0.7004, 0.7500)
Tl (0.7004, 0.2996, 0.2500)
Te (0.4983, 0.5017, 0.7500)
Te (0.5017, 0.4983, 0.2500)
Cl (0.1519, 0.8481, 0.0027)
Cl (0.1519, 0.8481, 0.4973)
Cl (0.8481, 0.1519, 0.5027)
Cl (0.8481, 0.1519, 0.9973)

=====

The following is a calculated powder diffraction line list of Tm2Pa2Se5. It was derived from a DFT-relaxed cell (GGA-PBE, Alexandria), using Cu Kα X-rays.

The 8 most intense peaks (2θ from 10° to 90°), by intensity:
| two_theta | I (rel.) |
| --- | --- |
| 29.28 | 100 |
| 41.86 | 88 |
| 45.34 | 72 |
| 34.79 | 62 |
| 25.72 | 52 |
| 27.35 | 47 |
| 13.75 | 44 |
| 31.79 | 29 |

Lattice parameters (Å, degrees): 4.0001 4.0001 19.3146 90.00 90.00 120.00
Fractional positions:
Tm (0.3333, 0.6667, 0.0870)
Tm (0.6667, 0.3333, 0.9130)
Pa (0.3333, 0.6667, 0.6824)
Pa (0.6667, 0.3333, 0.3176)
Se (0.0000, 0.0000, 0.0000)
Se (0.3333, 0.6667, 0.4021)
Se (0.3333, 0.6667, 0.8318)
Se (0.6667, 0.3333, 0.1682)
Se (0.6667, 0.3333, 0.5979)

=====

The following is a calculated powder diffraction line list of CaBi3Sb. It was derived from a DFT-relaxed cell (GGA-PBE, Alexandria), using Cu Kα X-rays.

The 8 most intense peaks (2θ from 10° to 90°), by intensity:
| two_theta | I (rel.) |
| --- | --- |
| 30.49 | 100 |
| 26.33 | 91 |
| 43.66 | 76 |
| 15.11 | 68 |
| 51.71 | 45 |
| 34.20 | 39 |
| 72.03 | 35 |
| 54.19 | 27 |

Lattice parameters (Å, degrees): 5.8633 5.8633 5.8633 90.00 90.00 90.00
Fractional positions:
Ca (0.0000, 0.0000, 0.0000)
Bi (0.0000, 0.5000, 0.5000)
Bi (0.5000, 0.0000, 0.5000)
Bi (0.5000, 0.5000, 0.0000)
Sb (0.5000, 0.5000, 0.5000)

=====

Please write out number 2 again, unchanged.
The following is a calculated powder diffraction line list of Tm2Pa2Se5. It was derived from a DFT-relaxed cell (GGA-PBE, Alexandria), using Cu Kα X-rays.

The 8 most intense peaks (2θ from 10° to 90°), by intensity:
| two_theta | I (rel.) |
| --- | --- |
| 29.28 | 100 |
| 41.86 | 88 |
| 45.34 | 72 |
| 34.79 | 62 |
| 25.72 | 52 |
| 27.35 | 47 |
| 13.75 | 44 |
| 31.79 | 29 |

Lattice parameters (Å, degrees): 4.0001 4.0001 19.3146 90.00 90.00 120.00
Fractional positions:
Tm (0.3333, 0.6667, 0.0870)
Tm (0.6667, 0.3333, 0.9130)
Pa (0.3333, 0.6667, 0.6824)
Pa (0.6667, 0.3333, 0.3176)
Se (0.0000, 0.0000, 0.0000)
Se (0.3333, 0.6667, 0.4021)
Se (0.3333, 0.6667, 0.8318)
Se (0.6667, 0.3333, 0.1682)
Se (0.6667, 0.3333, 0.5979)

=====

What is the formula in the second record?
Tm2Pa2Se5